Starting from a structure optimized by DFT (PBE), the powder XRD pattern of LaPmSe was simulated for Cu Kα X-rays.
Lines closer than 0.1° are merged.

```
LaPmSe
1.0
4.422 -5.618 0.000
4.422 5.618 0.000
0.000 0.000 7.774
La Pm Se
4 4 4
Cartesian
1.812 0.000 0.000
2.611 0.000 3.887
6.234 0.000 3.887
7.033 0.000 0.000
4.422 3.352 5.162
4.422 2.266 1.275
4.422 -2.266 6.500
4.422 -3.352 2.612
4.422 4.905 2.350
4.422 0.713 6.237
4.422 -0.713 1.537
4.422 -4.905 5.424
```

Top 6 peaks for 15° ≤ 2θ ≤ 90°, by angle:
Position (°2θ)	I (rel.)
25.64	83
26.27	53
30.62	100
33.47	57
33.93	46
39.74	60